1.
BaCoSe4O12: theoretical PXRD pattern (Cu Kα X-rays), based on a cell relaxed with GGA+U.
Peak positions follow from Bragg's law for the DFT cell and can differ from measured ones.

Crystal structure
abc: 5.501 5.501 7.559
angles: 90.00 90.00 90.00
Element x y z (fractional)
Ba (0.000, 0.000, 0.000)
Co (0.500, 0.500, 0.500)
Se (0.000, 0.500, 0.258)
Se (0.000, 0.500, 0.742)
Se (0.500, 0.000, 0.258)
Se (0.500, 0.000, 0.742)
O (0.000, 0.500, 0.000)
O (0.000, 0.500, 0.500)
O (0.260, 0.260, 0.279)
O (0.260, 0.260, 0.721)
O (0.260, 0.740, 0.279)
O (0.260, 0.740, 0.721)
O (0.500, 0.000, 0.000)
O (0.500, 0.000, 0.500)
O (0.740, 0.260, 0.279)
O (0.740, 0.260, 0.721)
O (0.740, 0.740, 0.279)
O (0.740, 0.740, 0.721)

Main lines, sorted by position (2θ from 10° to 90°):
2theta, d [Å], intensity
19.96, 4.448, 70
22.86, 3.890, 26
32.56, 2.750, 53
33.05, 2.711, 100
38.48, 2.339, 25
46.71, 1.945, 46
48.15, 1.890, 19
58.40, 1.580, 40
59.33, 1.558, 21
69.34, 1.355, 23


2.
Ba2CoSi2O7: theoretical PXRD pattern (Cu Kα X-rays), based on a cell relaxed with GGA+U.
Peak positions follow from Bragg's law for the DFT cell and can differ from measured ones.

Crystal structure
abc: 6.925 6.925 8.569
angles: 102.94 102.94 103.69
Element x y z (fractional)
Ba (0.186, 0.268, 0.474)
Ba (0.268, 0.186, 0.974)
Ba (0.732, 0.814, 0.026)
Ba (0.814, 0.732, 0.526)
Co (0.257, 0.743, 0.250)
Co (0.743, 0.257, 0.750)
Si (0.168, 0.606, 0.862)
Si (0.394, 0.832, 0.638)
Si (0.606, 0.168, 0.362)
Si (0.832, 0.394, 0.138)
O (0.023, 0.759, 0.867)
O (0.043, 0.358, 0.765)
O (0.241, 0.977, 0.633)
O (0.324, 0.621, 0.044)
O (0.333, 0.667, 0.750)
O (0.358, 0.043, 0.265)
O (0.379, 0.676, 0.456)
O (0.621, 0.324, 0.544)
O (0.642, 0.957, 0.735)
O (0.667, 0.333, 0.250)
O (0.676, 0.379, 0.956)
O (0.759, 0.023, 0.367)
O (0.957, 0.642, 0.235)
O (0.977, 0.241, 0.133)

Main lines, sorted by position (2θ from 10° to 90°):
2theta, d [Å], intensity
22.28, 3.990, 26
25.20, 3.534, 18
27.67, 3.224, 100
27.73, 3.217, 60
30.15, 2.964, 28
32.44, 2.760, 31
37.19, 2.417, 16
45.68, 1.986, 15
45.94, 1.976, 24
52.89, 1.731, 23